For Li4Co3O7, a PBE+U-relaxed structure gives the calculated powder XRD pattern in this record (Cu Kα (weighted mean of Kα1 and Kα2)).

Main lines, sorted by position (5° ≤ 2θ ≤ 70°):
9.21 deg, rel. 7.6, hkl 0 0 1
18.69 deg, rel. 100.0, hkl 0 1 -1
36.74 deg, rel. 25.3, hkl 1 0 3
37.05 deg, rel. 11.8, hkl 2 0 -1
38.46 deg, rel. 7.2, hkl 1 1 2
44.37 deg, rel. 50.8, hkl 1 -1 4
44.97 deg, rel. 24.1, hkl 2 1 -2
48.85 deg, rel. 7.4, hkl 1 1 -5
58.47 deg, rel. 9.3, hkl -1 3 1
65.38 deg, rel. 13.2, hkl 3 0 2

Crystal structure
a b c (Å): 4.9372 5.0403 9.9475
angles (deg): 100.05 99.11 100.12
Atoms (fractional coordinates):
Li1 0.0000 0.0000 0.0000
Li2 0.0000 0.0000 0.5000
Li3 0.1415 0.2827 0.2888
Li4 0.2731 0.5770 0.5721
Li5 0.4241 0.8609 0.8541
Li6 0.5759 0.1391 0.1459
Li7 0.7269 0.4230 0.4279
Li8 0.8585 0.7173 0.7112
Co1 0.1411 0.2823 0.7823
Co2 0.2867 0.5737 0.0733
Co3 0.4259 0.8613 0.3608
Co4 0.5741 0.1387 0.6392
Co5 0.7133 0.4263 0.9267
Co6 0.8589 0.7177 0.2177
O1 0.0625 0.6135 0.8941
O2 0.0852 0.6567 0.3804
O3 0.2098 0.9140 0.1885
O4 0.2333 0.9606 0.6812
O5 0.3629 0.2353 0.9568
O6 0.3817 0.1869 0.4656
O7 0.4916 0.4659 0.7463
O8 0.5084 0.5341 0.2537
O9 0.6183 0.8131 0.5344
O10 0.6371 0.7647 0.0432
O11 0.7667 0.0394 0.3188
O12 0.7902 0.0860 0.8115
O13 0.9148 0.3433 0.6196
O14 0.9375 0.3865 0.1059